This entry pairs a crystal structure of SbH3OF6 with its simulated PXRD pattern. Radiation: CuKα. Structure: a cell relaxed with PBE.
Lines closer than 0.1° are merged.

Crystal structure
abc: 10.227 10.227 10.227
angles: 90.00 90.00 90.00
Space group I2_13 (No. 199)
Symmetry-distinct sites (fractional):
Sb: 0.243 0.243 0.243
H: 0.046 0.443 0.933
O: 0.003 0.497 0.503
F: 0.101 0.141 0.307
F: 0.115 0.355 0.814

Main lines, by angle (15° ≤ 2θ ≤ 90°):
2theta, d (Å), I_rel
17.34, 5.113, 99
24.62, 3.616, 100
30.27, 2.952, 19
39.40, 2.287, 17
43.34, 2.088, 40
50.48, 1.808, 17
53.78, 1.704, 20
56.95, 1.617, 17
60.00, 1.542, 10
68.68, 1.367, 18